This entry pairs a crystal structure of Tm3Ga4Pd4 with its simulated X-ray powder pattern. Radiation: Cu Ka. Structure: a PBE-relaxed structure.
Kinematic intensities with the Lorentz-polarization factor, no thermal factor.

Crystal structure
a b c (Å): 13.4848 13.4848 13.4848
angles (deg): 164.84 161.04 24.37
Positions (direct):
Tm  0.0000  0.0000  0.0000
Tm  0.3582  0.8582  0.5000
Tm  0.6418  0.1418  0.5000
Ga  0.1907  0.6907  0.5000
Ga  0.4522  0.4522  0.0000
Ga  0.5478  0.5478  0.0000
Ga  0.8093  0.3093  0.5000
Pd  0.0948  0.5948  0.5000
Pd  0.2602  0.2602  0.0000
Pd  0.7398  0.7398  0.0000
Pd  0.9052  0.4052  0.5000

Most intense lines, 2θ from 10° to 90°, by angle:
22.43°, d 3.964, I = 112
34.68°, d 2.586, I = 488
35.06°, d 2.559, I = 1000
40.62°, d 2.221, I = 324
42.88°, d 2.109, I = 439
51.35°, d 1.779, I = 163
54.45°, d 1.685, I = 267
67.45°, d 1.389, I = 142
69.06°, d 1.360, I = 215
70.33°, d 1.339, I = 130